Simulated X-ray powder pattern of LuNb6Cl18 for Cu Kα, from the PBE geometry in OQMD.

Peak list (12 most intense, 10 to 80 degrees two-theta, by intensity)
13.05 deg, I = 100.0
34.42 deg, I = 30.7
41.17 deg, I = 23.7
52.14 deg, I = 15.6
21.85 deg, I = 12.7
28.35 deg, I = 11.1
29.62 deg, I = 10.3
38.70 deg, I = 9.8
35.14 deg, I = 9.1
10.48 deg, I = 8.8
44.56 deg, I = 8.3
44.40 deg, I = 8.2

Cell and atoms:
Unit cell a=10.000 b=10.000 c=10.000 alpha=55.30 beta=55.30 gamma=55.30
Positions (direct):
Lu 0.000 0.000 0.000
Nb 0.293 0.654 0.410
Nb 0.346 0.590 0.707
Nb 0.410 0.293 0.654
Nb 0.590 0.707 0.346
Nb 0.654 0.410 0.293
Nb 0.707 0.346 0.590
Cl 0.026 0.848 0.303
Cl 0.080 0.779 0.639
Cl 0.152 0.697 0.974
Cl 0.155 0.438 0.575
Cl 0.221 0.361 0.920
Cl 0.303 0.026 0.848
Cl 0.361 0.920 0.221
Cl 0.425 0.845 0.562
Cl 0.438 0.575 0.155
Cl 0.562 0.425 0.845
Cl 0.575 0.155 0.438
Cl 0.639 0.080 0.779
Cl 0.697 0.974 0.152
Cl 0.779 0.639 0.080
Cl 0.845 0.562 0.425
Cl 0.848 0.303 0.026
Cl 0.920 0.221 0.361
Cl 0.974 0.152 0.697